No. 1
Computed PXRD pattern of MgBePb2 for Cu Kα, 1.54184 Å, from a cell relaxed with GGA-PBE.
Lines closer than 0.1° are merged.

Structure:
Cell lengths 4.114, 4.270, 5.723 Å; angles 90.00, 110.65, 90.00 degrees
Fractional positions:
Mg  0.000  0.000  0.000
Be  0.837  0.500  0.695
Pb  0.290  0.000  0.575
Pb  0.581  0.500  0.165

Main lines, most intense first (10° ≤ 2θ ≤ 90°):
two_theta, I/Imax
31.3, 100
26.7, 86
33.4, 28
33.1, 28
55.0, 25
33.5, 22
23.1, 22
23.2, 20
42.3, 19
44.0, 17

***

No. 2
Computed PXRD pattern of Mg2BePd2 for Cu Kα, 1.54184 Å, from a cell relaxed with GGA-PBE.
Lines closer than 0.1° are merged.

Structure:
Cell lengths 6.055, 6.055, 4.311 Å; angles 90.00, 90.00, 90.00 degrees
Fractional positions:
Mg  0.166  0.334  0.000
Mg  0.334  0.834  0.000
Mg  0.666  0.166  0.000
Mg  0.834  0.666  0.000
Be  0.000  0.000  0.500
Be  0.500  0.500  0.500
Pd  0.156  0.656  0.500
Pd  0.344  0.156  0.500
Pd  0.656  0.844  0.500
Pd  0.844  0.344  0.500

Main lines, most intense first (10° ≤ 2θ ≤ 90°):
two_theta, I/Imax
39.3, 100
20.6, 47
33.1, 31
41.9, 19
20.7, 17
47.5, 16
54.4, 15
74.8, 14
29.5, 13
67.4, 13

***

No. 3
Computed PXRD pattern of Mg2BePd6 for Cu Kα, 1.54184 Å, from a cell relaxed with GGA-PBE.
Lines closer than 0.1° are merged.

Structure:
Cell lengths 7.882, 7.882, 2.892 Å; angles 100.42, 100.42, 54.33 degrees
Fractional positions:
Mg  0.154  0.154  0.154
Mg  0.846  0.846  0.846
Be  0.500  0.500  0.500
Pd  0.141  0.522  0.332
Pd  0.252  0.748  0.000
Pd  0.478  0.859  0.668
Pd  0.522  0.141  0.332
Pd  0.748  0.252  0.000
Pd  0.859  0.478  0.668

Main lines, most intense first (10° ≤ 2θ ≤ 90°):
two_theta, I/Imax
44.8, 100
24.7, 82
39.4, 51
36.7, 45
36.8, 45
42.5, 32
47.1, 29
33.4, 15
73.5, 12
64.4, 12

***

No. 4
Computed PXRD pattern of MgBePdRh for Cu Kα, 1.54184 Å, from a cell relaxed with GGA-PBE.
Lines closer than 0.1° are merged.

Structure:
Cell lengths 4.210, 4.210, 4.210 Å; angles 60.00, 60.00, 60.00 degrees
Fractional positions:
Mg  0.000  0.000  0.000
Be  0.500  0.500  0.500
Pd  0.250  0.250  0.250
Rh  0.750  0.750  0.750

Main lines, most intense first (10° ≤ 2θ ≤ 90°):
two_theta, I/Imax
43.0, 100
30.0, 74
78.7, 32
70.8, 24
53.3, 19
62.4, 16
25.9, 2
50.9, 1

***

No. 5
Computed PXRD pattern of MgSc2Be2Pd5 for Cu Kα, 1.54184 Å, from a cell relaxed with GGA-PBE.
Lines closer than 0.1° are merged.

Structure:
Cell lengths 9.488, 9.488, 3.356 Å; angles 90.00, 90.00, 90.00 degrees
Fractional positions:
Mg  0.000  0.000  0.000
Mg  0.500  0.500  0.000
Sc  0.176  0.324  0.000
Sc  0.324  0.824  0.000
Sc  0.676  0.176  0.000
Sc  0.824  0.676  0.000
Be  0.122  0.622  0.000
Be  0.378  0.122  0.000
Be  0.622  0.878  0.000
Be  0.878  0.378  0.000
Pd  0.000  0.500  0.500
Pd  0.071  0.785  0.500
Pd  0.215  0.071  0.500
Pd  0.285  0.571  0.500
Pd  0.429  0.285  0.500
Pd  0.500  0.000  0.500
Pd  0.571  0.715  0.500
Pd  0.715  0.429  0.500
Pd  0.785  0.929  0.500
Pd  0.929  0.215  0.500

Main lines, most intense first (10° ≤ 2θ ≤ 90°):
two_theta, I/Imax
40.3, 100
34.1, 87
26.6, 72
39.1, 71
43.7, 48
69.3, 41
37.9, 34
42.6, 33
76.4, 28
47.9, 26

***

No. 6
Computed PXRD pattern of MgBePt for Cu Kα, 1.54184 Å, from a cell relaxed with GGA-PBE.
Lines closer than 0.1° are merged.

Structure:
Cell lengths 5.063, 5.063, 5.063 Å; angles 147.36, 141.75, 51.15 degrees
Fractional positions:
Mg  0.000  0.000  0.000
Be  0.293  0.293  0.000
Pt  0.697  0.697  0.000

Main lines, most intense first (10° ≤ 2θ ≤ 90°):
two_theta, I/Imax
19.4, 100
28.6, 84
33.0, 58
40.2, 49
41.8, 47
46.5, 43
43.5, 40
58.9, 27
39.5, 21
73.0, 17

***

No. 7
Computed PXRD pattern of MgBePt for Cu Kα, 1.54184 Å, from a cell relaxed with GGA-PBE.
Lines closer than 0.1° are merged.

Structure:
Cell lengths 4.868, 4.868, 4.868 Å; angles 121.82, 112.48, 95.19 degrees
Fractional positions:
Mg  0.374  0.124  0.250
Mg  0.626  0.876  0.750
Be  0.000  0.000  0.500
Be  0.000  0.500  0.000
Pt  0.000  0.500  0.500
Pt  0.500  0.500  0.000

Main lines, most intense first (10° ≤ 2θ ≤ 90°):
two_theta, I/Imax
23.2, 100
40.8, 69
27.2, 39
43.3, 26
45.7, 25
38.0, 21
47.4, 20
59.0, 19
57.6, 18
33.1, 17

***

No. 8
Computed PXRD pattern of Mg3BePt4 for Cu Kα, 1.54184 Å, from a cell relaxed with GGA-PBE.
Lines closer than 0.1° are merged.

Structure:
Cell lengths 2.912, 2.912, 13.910 Å; angles 90.00, 90.00, 90.00 degrees
Fractional positions:
Mg  0.000  0.000  0.000
Mg  0.000  0.000  0.264
Mg  0.000  0.000  0.736
Be  0.000  0.000  0.500
Pt  0.500  0.500  0.132
Pt  0.500  0.500  0.398
Pt  0.500  0.500  0.602
Pt  0.500  0.500  0.868

Main lines, most intense first (10° ≤ 2θ ≤ 90°):
two_theta, I/Imax
40.4, 100
30.7, 81
25.6, 51
44.0, 47
51.6, 32
78.4, 29
63.9, 16
72.6, 14
70.1, 13
83.3, 11